Entry 1:
Starting from a crystal structure in the Materials Project, relaxed with PBE+U, the powder X-ray diffraction pattern of Mn2HgO4 was calculated for a wavelength of 1.5418 Å.
Neutral-atom scattering factors, no anomalous dispersion.

Crystal structure
Unit cell a=8.4195 b=8.4621 c=10.1462 alpha=90.00 beta=90.00 gamma=90.00
Space group Fddd (No. 70, origin choice 2)
One atom of each set of equivalent atoms:
Mn1 0.0000 0.0000 0.0000 x16
Hg1 0.1250 0.1250 0.6250 x8
O1 0.0181 0.0181 0.2305 x32

Largest 6 diffraction maxima, in order of rising 2θ, 2θ from 10° to 90°:
2θ (°), d/Å, I_rel, index
17.24, 5.144, 34, 1 1 1
27.49, 3.244, 100, 2 0 2
29.94, 2.984, 40, 2 2 0
30.38, 2.942, 70, 1 1 3
34.68, 2.586, 50, 1 3 1
34.82, 2.576, 53, 3 1 1


Entry 2:
Starting from a crystal structure in the Materials Project, relaxed with PBE+U, the powder X-ray diffraction pattern of Hg2Mo2O7 was calculated for a wavelength of 1.5418 Å.
Neutral-atom scattering factors, no anomalous dispersion.

Crystal structure
Unit cell a=12.3224 b=7.8913 c=14.9358 alpha=90.00 beta=106.01 gamma=90.00
Space group C2/c (No. 15)
One atom of each set of equivalent atoms:
Hg1 0.0642 0.1781 0.0625 x8
Hg2 0.0828 0.3437 0.5660 x8
Mo1 0.1522 0.0220 0.8097 x8
Mo2 0.1584 0.4845 0.3158 x8
O1 0.0000 0.0530 0.2500 x4
O2 0.0000 0.4770 0.2500 x4
O3 0.1340 0.2402 0.7768 x8
O4 0.1467 0.0273 0.9248 x8
O5 0.1491 0.4567 0.9258 x8
O6 0.1776 0.2596 0.3269 x8
O7 0.1825 0.0407 0.1706 x8
O8 0.1827 0.4838 0.1700 x8

Largest 6 diffraction maxima, in order of rising 2θ, 2θ from 10° to 90°:
2θ (°), d/Å, I_rel, index
16.57, 5.350, 83, 2 0 -2
25.22, 3.531, 94, 2 0 -4
25.77, 3.458, 50, 0 2 2
28.10, 3.175, 46, 2 2 -2
28.80, 3.100, 73, 2 2 1
29.32, 3.046, 100, 4 0 -2


Entry 3:
Starting from a crystal structure in the Materials Project, relaxed with PBE+U, the powder X-ray diffraction pattern of Hg2Mo2O7 was calculated for a wavelength of 1.5418 Å.
Neutral-atom scattering factors, no anomalous dispersion.

Crystal structure
Unit cell a=6.1935 b=3.9953 c=14.8916 alpha=90.00 beta=105.39 gamma=90.00
Space group P2/c (No. 13)
One atom of each set of equivalent atoms:
Hg1 0.1459 0.1664 0.0630 x4
Mo1 0.3113 0.4730 0.8138 x4
O1 0.0000 0.4599 0.2500 x2
O2 0.2969 0.4755 0.4282 x4
O3 0.3112 0.0285 0.8019 x4
O4 0.3647 0.4672 0.1687 x4

Largest 6 diffraction maxima, in order of rising 2θ, 2θ from 10° to 90°:
2θ (°), d/Å, I_rel, index
16.60, 5.340, 82, 1 0 -2
25.33, 3.516, 95, 1 0 -4
25.52, 3.491, 51, 0 1 2
27.89, 3.199, 48, 1 1 -2
28.47, 3.135, 73, 1 1 1
29.14, 3.064, 100, 2 0 -2